# Y2Ho6Tm
Computed X-ray diffraction stick pattern, Cu Kα (λ = 1.5418 Å). Input: a DFT-relaxed cell (PBE, Alexandria).
Neutral-atom scattering factors, no anomalous dispersion.

Top 10 peaks for 2θ from 5° to 70°, most intense first:
h k l  Position (°2θ)  d/Å  I_rel
1 2 0  31.03  2.882  100
1 1 3  35.99  2.496  50
2 1 0  51.81  1.765  36
1 5 0  61.66  1.504  28
2 3 3  61.57  1.506  14
2 4 0  64.68  1.441  9
0 4 6  64.76  1.440  3
0 0 1  8.58  10.303  3
0 1 1  12.94  6.844  2
0 1 2  18.54  4.785  1

Structure:
```
Y2Ho6Tm
1.0
3.533 0.000 0.000
1.766 7.685 0.000
0.019 2.421 10.303
Y Ho Tm
2 6 1
Cartesian
0.892 2.231 3.999
4.426 7.876 6.304
0.881 1.411 0.574
0.899 3.048 7.443
2.663 5.852 8.597
2.654 4.255 1.706
4.419 7.059 2.860
4.437 8.696 9.729
2.659 5.053 5.151
```